Computed X-ray powder pattern
Compound: KCeAs2O6
Radiation: Cu Kα, 1.54184 Å
Structure: a PBE-relaxed structure
Lines closer than 0.1° are merged.

Top 12 peaks for 2θ from 10° to 90°, most intense first:
2θ (°), Rel. int.
26.62, 1000
30.83, 534
18.34, 407
52.32, 248
54.83, 224
30.59, 219
41.18, 190
55.92, 178
43.99, 158
64.24, 150
70.82, 138
44.18, 126

Cell and atoms:
```
KCeAs2O6
1.0
2.9001 1.6743 5.9885
-2.9001 1.6743 5.9885
0.0000 -3.3487 5.9885
K Ce As O
1 1 2 6
direct
0.0000 0.0000 0.0000
0.5000 0.5000 0.5000
0.2749 0.2749 0.2749
0.7251 0.7251 0.7251
0.0705 0.7026 0.5145
0.2974 0.4855 0.9295
0.4855 0.9295 0.2974
0.5145 0.0705 0.7026
0.7026 0.5145 0.0705
0.9295 0.2974 0.4855
```


Computed X-ray powder pattern
Compound: Pa2GaS6
Radiation: Cu Kα, 1.54184 Å
Structure: a PBE-relaxed structure
Lines closer than 0.1° are merged.

Top 12 peaks for 2θ from 10° to 90°, most intense first:
2θ (°), Rel. int.
20.60, 1000
39.86, 856
26.42, 737
50.23, 335
41.91, 237
16.26, 235
49.75, 199
29.29, 191
47.13, 170
67.41, 161
59.21, 140
62.98, 129

Cell and atoms:
```
Pa2GaS6
1.0
6.0983 0.0000 0.0000
0.0000 6.0983 0.0000
0.0000 0.0000 12.1488
Pa Ga S
4 2 12
direct
0.0000 0.0000 0.1672
0.0000 0.0000 0.8328
0.5000 0.5000 0.3328
0.5000 0.5000 0.6672
0.0000 0.0000 0.5000
0.5000 0.5000 0.0000
0.1914 0.1914 0.3394
0.1914 0.1914 0.6606
0.1961 0.1961 0.0000
0.3039 0.6961 0.5000
0.3086 0.6914 0.1606
0.3086 0.6914 0.8394
0.6914 0.3086 0.1606
0.6914 0.3086 0.8394
0.6961 0.3039 0.5000
0.8039 0.8039 0.0000
0.8086 0.8086 0.3394
0.8086 0.8086 0.6606
```